(1)
Calculated powder XRD pattern
Compound: Tm5TlBi4
Radiation: λ = 1.5418 Å (Cu Kα)
Structure: a cell relaxed with GGA-PBE
Lines closer than 0.1° are merged.

Principal peaks in the range 10 to 80 degrees two-theta, in order of rising 2θ:
Position (°2θ)  d [Å]  I (rel.)
24.7  3.609  1.8
28.6  3.126  100.0
40.8  2.210  77.9
48.3  1.885  1.1
50.6  1.805  28.2
59.1  1.564  8.9
59.2  1.561  4.4
66.9  1.398  24.7
67.0  1.397  12.3
74.3  1.276  27.6

a b c (Å): 9.8907 9.8907 6.2431
angles (deg): 90.00 90.00 90.00
Space group I4/m (No. 87)
Inequivalent atoms, fractional coordinates:
Tm 0.0000 0.0000 0.0000 [2 per cell]
Tm 0.1020 0.3003 0.5000 [8 per cell]
Tl 0.0000 0.0000 0.5000 [2 per cell]
Bi 0.0987 0.3003 0.0000 [8 per cell]

***

(2)
Calculated powder XRD pattern
Compound: Tm6Tl6Bi
Radiation: λ = 1.5418 Å (Cu Kα)
Structure: a cell relaxed with GGA-PBE
Lines closer than 0.1° are merged.

Principal peaks in the range 10 to 80 degrees two-theta, in order of rising 2θ:
Position (°2θ)  d [Å]  I (rel.)
27.6  3.236  28.5
30.7  2.909  16.7
31.9  2.802  57.6
32.8  2.733  58.9
35.2  2.553  32.8
36.6  2.457  100.0
48.2  1.887  21.9
56.9  1.618  33.7
61.6  1.506  23.0
68.7  1.367  28.8

a b c (Å): 6.4713 6.4713 10.2120
angles (deg): 90.00 90.00 120.00
Space group P6/mmm (No. 191)
Inequivalent atoms, fractional coordinates:
Tm 0.0000 0.0000 0.1883 [2 per cell]
Tm 0.3333 0.6667 0.0000 [2 per cell]
Tm 0.3333 0.6667 0.5000 [2 per cell]
Tl 0.0000 0.5000 0.2490 [6 per cell]
Bi 0.0000 0.0000 0.5000 [1 per cell]

***

(3)
Calculated powder XRD pattern
Compound: Tm3TlBi2
Radiation: λ = 1.5418 Å (Cu Kα)
Structure: a cell relaxed with GGA-PBE
Lines closer than 0.1° are merged.

Principal peaks in the range 10 to 80 degrees two-theta, in order of rising 2θ:
Position (°2θ)  d [Å]  I (rel.)
28.6  3.119  100.0
39.5  2.280  14.2
40.9  2.205  51.8
42.2  2.141  11.9
49.5  1.840  15.0
51.8  1.764  13.2
59.2  1.561  8.9
67.1  1.395  12.3
67.2  1.394  12.3
72.6  1.302  9.7

a b c (Å): 14.3360 6.2296 8.5639
angles (deg): 90.00 107.37 90.00
Space group C2/c (No. 15)
Inequivalent atoms, fractional coordinates:
Tm 0.0000 0.0012 0.2500 [4 per cell]
Tm 0.1700 0.5000 0.0850 [8 per cell]
Tl 0.0000 0.4988 0.7500 [4 per cell]
Bi 0.1659 0.0001 0.0829 [8 per cell]

***

(4)
Calculated powder XRD pattern
Compound: Tm3Tl2Bi
Radiation: λ = 1.5418 Å (Cu Kα)
Structure: a cell relaxed with GGA-PBE
Lines closer than 0.1° are merged.

Principal peaks in the range 10 to 80 degrees two-theta, in order of rising 2θ:
Position (°2θ)  d [Å]  I (rel.)
29.5  3.028  41.2
29.7  3.012  100.0
30.2  2.960  85.7
30.8  2.901  93.3
35.9  2.502  34.6
36.0  2.493  28.2
42.8  2.111  61.4
43.7  2.072  63.5
48.0  1.895  30.8
70.1  1.342  31.8

a b c (Å): 3.5242 5.8026 17.7583
angles (deg): 90.00 90.00 90.00
Space group Immm (No. 71)
Inequivalent atoms, fractional coordinates:
Tm 0.0000 0.0000 0.0000 [2 per cell]
Tm 0.0000 0.5000 0.1749 [4 per cell]
Tl 0.0000 0.5000 0.3478 [4 per cell]
Bi 0.0000 0.5000 0.0000 [2 per cell]

***

(5)
Calculated powder XRD pattern
Compound: YTl2Bi2
Radiation: λ = 1.5418 Å (Cu Kα)
Structure: a cell relaxed with GGA-PBE
Lines closer than 0.1° are merged.

Principal peaks in the range 10 to 80 degrees two-theta, in order of rising 2θ:
Position (°2θ)  d [Å]  I (rel.)
21.0  4.227  28.6
30.8  2.906  100.0
32.9  2.724  32.8
35.7  2.517  36.1
41.4  2.179  34.3
52.5  1.744  20.4
53.9  1.701  16.5
60.1  1.541  14.4
61.0  1.519  16.2
69.0  1.361  25.1

a b c (Å): 4.3566 4.3566 17.4548
angles (deg): 90.00 90.00 90.00
Space group I4/mmm (No. 139)
Inequivalent atoms, fractional coordinates:
Y 0.0000 0.0000 0.0000 [2 per cell]
Tl 0.0000 0.5000 0.2500 [4 per cell]
Bi 0.0000 0.0000 0.4119 [4 per cell]

***

(6)
Calculated powder XRD pattern
Compound: Y2TlBi
Radiation: λ = 1.5418 Å (Cu Kα)
Structure: a cell relaxed with GGA-PBE
Lines closer than 0.1° are merged.

Principal peaks in the range 10 to 80 degrees two-theta, in order of rising 2θ:
Position (°2θ)  d [Å]  I (rel.)
22.4  3.970  24.7
25.0  3.567  21.1
28.4  3.145  100.0
29.5  3.026  44.6
38.5  2.338  82.8
39.5  2.280  27.0
40.9  2.207  24.6
50.1  1.821  20.7
51.2  1.783  19.4
66.6  1.405  17.7

a b c (Å): 4.5602 24.2077 4.4147
angles (deg): 90.00 90.00 90.00
Space group Cmcm (No. 63)
Inequivalent atoms, fractional coordinates:
Y 0.0000 0.0617 0.2500 [4 per cell]
Y 0.0000 0.3190 0.2500 [4 per cell]
Tl 0.0000 0.4548 0.2500 [4 per cell]
Bi 0.0000 0.1888 0.2500 [4 per cell]

***

(7)
Calculated powder XRD pattern
Compound: TlZn2Bi2
Radiation: λ = 1.5418 Å (Cu Kα)
Structure: a cell relaxed with GGA-PBE
Lines closer than 0.1° are merged.

Principal peaks in the range 10 to 80 degrees two-theta, in order of rising 2θ:
Position (°2θ)  d [Å]  I (rel.)
22.7  3.909  34.2
28.9  3.091  15.2
29.7  3.010  29.2
32.4  2.764  84.1
33.1  2.706  35.1
34.7  2.585  100.0
50.5  1.806  14.5
51.7  1.768  22.6
63.3  1.468  25.0
63.6  1.462  24.7

a b c (Å): 8.7417 8.7417 3.4456
angles (deg): 90.00 90.00 90.00
Space group P4/mbm (No. 127)
Inequivalent atoms, fractional coordinates:
Tl 0.0000 0.0000 0.0000 [2 per cell]
Zn 0.1369 0.3631 0.0000 [4 per cell]
Bi 0.1560 0.6560 0.5000 [4 per cell]

***

(8)
Calculated powder XRD pattern
Compound: Zr2TlBi2
Radiation: λ = 1.5418 Å (Cu Kα)
Structure: a cell relaxed with GGA-PBE
Lines closer than 0.1° are merged.

Principal peaks in the range 10 to 80 degrees two-theta, in order of rising 2θ:
Position (°2θ)  d [Å]  I (rel.)
24.6  3.617  14.9
27.3  3.272  27.6
31.5  2.840  23.7
33.4  2.679  100.0
35.1  2.558  58.9
45.5  1.994  16.1
51.9  1.760  11.1
53.3  1.720  12.1
58.7  1.573  27.2
66.5  1.406  21.0

a b c (Å): 8.0879 8.0879 3.9887
angles (deg): 90.00 90.00 90.00
Space group P4/mbm (No. 127)
Inequivalent atoms, fractional coordinates:
Zr 0.1445 0.3555 0.0000 [4 per cell]
Tl 0.0000 0.0000 0.0000 [2 per cell]
Bi 0.1525 0.6525 0.5000 [4 per cell]